Calculated powder XRD pattern of IBr for Cu Kα, from a cell relaxed with PBE.
No peak broadening, texture or thermal motion is included.

Largest 12 diffraction maxima, sorted by position, 2θ = 10–90°:
2theta, d_spacing, I/Imax
19.7, 4.500, 84
25.2, 3.528, 100
25.7, 3.464, 11
33.0, 2.713, 25
38.1, 2.363, 26
38.8, 2.323, 29
41.7, 2.166, 13
42.0, 2.150, 50
51.3, 1.782, 22
51.8, 1.764, 12
62.8, 1.479, 14
75.0, 1.266, 13

Atomic structure:
```
data_IBr
_chemical_formula_sum 'I6 Br6'
_space_group_name_H-M_alt 'P m m n'
_space_group_IT_number 59
_cell_length_a 3.8346
_cell_length_b 16.2763
_cell_length_c 8.9998
_cell_angle_alpha 90.00
_cell_angle_beta 90.00
_cell_angle_gamma 90.00
loop_
_space_group_symop_operation_xyz
'x,y,z'
'-x,-y,-z'
'-x+1/2,-y+1/2,z'
'x+1/2,y+1/2,-z'
'x+1/2,-y,-z'
'-x+1/2,y,z'
'-x,y+1/2,-z'
'x,-y+1/2,z'
loop_
_atom_site_label
_atom_site_fract_x
_atom_site_fract_y
_atom_site_fract_z
I1 0.2500 0.0833 0.2240
I2 0.2500 0.7500 0.2257
Br1 0.2500 0.2500 0.2792
Br2 0.2500 0.5833 0.2810
```